# 1
Theoretical X-ray diffraction stick pattern
Compound: CaY2FeO5
Radiation: Cu Kα
Structure: a structure optimized by DFT (PBE+U)
Kinematic intensities with the Lorentz-polarization factor, no thermal factor.

Crystal structure
Cell: 6.4188 6.4188 5.6985 Å, 90.00 90.00 90.00°
Space group P4/mbm (No. 127)
One atom of each set of equivalent atoms:
Ca (0.0000, 0.0000, 0.0000) [2 per cell]
Y (0.1740, 0.3260, 0.5000) [4 per cell]
Fe (0.0000, 0.5000, 0.0000) [2 per cell]
O (0.0000, 0.0000, 0.5000) [2 per cell]
O (0.1422, 0.6422, 0.2434) [8 per cell]

Largest 6 diffraction maxima, by angle, 10 to 90 degrees two-theta:
| 2θ/deg | d (Å) | I/Imax | hkl |
| --- | --- | --- | --- |
| 15.55 | 5.698 | 36 | 0 0 1 |
| 31.40 | 2.849 | 40 | 0 0 2 |
| 32.01 | 2.796 | 100 | 2 0 1 |
| 35.00 | 2.564 | 78 | 2 1 1 |
| 39.72 | 2.269 | 25 | 2 2 0 |
| 44.82 | 2.022 | 68 | 2 1 2 |

# 2
Theoretical X-ray diffraction stick pattern
Compound: CaZn2Fe4O8
Radiation: Cu Kα
Structure: a structure optimized by DFT (PBE+U)
Kinematic intensities with the Lorentz-polarization factor, no thermal factor.

Crystal structure
Cell: 6.2176 6.4618 8.9798 Å, 90.00 90.00 90.00°
Space group Imm2 (No. 44)
One atom of each set of equivalent atoms:
Ca (0.0000, 0.0000, 0.0000) [2 per cell]
Zn (0.2178, 0.5000, 0.2545) [4 per cell]
Fe (0.0000, 0.0000, 0.3238) [2 per cell]
Fe (0.0000, 0.2667, 0.5778) [4 per cell]
Fe (0.0000, 0.5000, 0.8652) [2 per cell]
O (0.0000, 0.2015, 0.7981) [4 per cell]
O (0.0000, 0.2997, 0.3504) [4 per cell]
O (0.2102, 0.5000, 0.6304) [4 per cell]
O (0.2232, 0.0000, 0.5377) [4 per cell]

Largest 6 diffraction maxima, by angle, 10 to 90 degrees two-theta:
| 2θ/deg | d (Å) | I/Imax | hkl |
| --- | --- | --- | --- |
| 32.79 | 2.731 | 81 | 1 2 1 |
| 32.98 | 2.716 | 47 | 0 1 3 |
| 33.51 | 2.674 | 100 | 2 1 1 |
| 40.21 | 2.242 | 55 | 0 0 4 |
| 44.28 | 2.045 | 47 | 2 1 3 |
| 45.23 | 2.005 | 52 | 2 2 2 |